# 1
Calculated PXRD pattern
Compound: MgCu3Se2
Radiation: Cu Kα
Structure: DFT lattice parameters and positions (GGA-PBE)
Kinematic intensities with the Lorentz-polarization factor, no thermal factor.

Cell and atoms:
a = 5.1229 Å, b = 5.1229 Å, c = 10.2466 Å
α = 90.00°, β = 90.00°, γ = 120.00°
Space group P6_3/mmc (No. 194)
Unique sites:
Mg 0.0000 0.0000 0.0000 [2 per cell]
Cu 0.1575 0.3151 0.2500 [6 per cell]
Se 0.3333 0.6667 0.0695 [4 per cell]

Main lines, most intense first (15° ≤ 2θ ≤ 90°):
2theta  I (rel.)  h k l
49.0  100  2 0 3
21.8  90  1 0 1
39.3  59  1 1 2
35.0  30  0 0 4
40.7  28  2 0 0
26.6  24  1 0 2
55.5  19  2 1 1
41.7  19  2 0 1
74.0  18  2 2 0
72.9  17  2 1 5
33.1  16  1 0 3
65.7  14  3 0 2

***

# 2
Calculated PXRD pattern
Compound: Rb2As2PbS6
Radiation: Cu Kα
Structure: DFT lattice parameters and positions (GGA-PBE)
Kinematic intensities with the Lorentz-polarization factor, no thermal factor.

Cell and atoms:
a = 12.595 Å, b = 7.243 Å, c = 8.545 Å
α = 90.00°, β = 121.03°, γ = 90.00°
Space group C2/m (No. 12)
Unique sites:
Rb 0.213 0.000 0.217 [4 per cell]
As 0.031 0.500 0.172 [4 per cell]
Pb 0.000 0.000 0.500 [2 per cell]
S 0.056 0.249 0.807 [8 per cell]
S 0.231 0.500 0.345 [4 per cell]

Main lines, most intense first (15° ≤ 2θ ≤ 90°):
2theta  I (rel.)  h k l
24.5  100  0 2 0
21.6  36  1 1 1
32.7  26  2 2 -2
16.2  19  1 1 -1
43.2  17  3 3 -1
16.4  15  2 0 0
45.3  13  3 1 2
35.4  13  2 2 1
33.2  13  4 0 0
41.7  12  4 2 0
31.5  11  2 0 -3
36.8  10  0 0 3

***

# 3
Calculated PXRD pattern
Compound: Pu6Pt3N
Radiation: Cu Kα
Structure: DFT lattice parameters and positions (GGA-PBE)
Kinematic intensities with the Lorentz-polarization factor, no thermal factor.

Cell and atoms:
a = 5.335 Å, b = 9.771 Å, c = 7.447 Å
α = 90.00°, β = 98.77°, γ = 90.00°
Space group P2_1/c (No. 14)
Unique sites:
Pu 0.032 0.147 0.477 [4 per cell]
Pu 0.246 0.168 0.164 [4 per cell]
Pu 0.256 0.674 0.659 [4 per cell]
Pt 0.291 0.003 0.812 [4 per cell]
Pt 0.500 0.000 0.500 [2 per cell]
N 0.000 0.000 0.000 [2 per cell]

Main lines, most intense first (15° ≤ 2θ ≤ 90°):
2theta  I (rel.)  h k l
35.5  100  1 3 1
37.8  38  0 1 3
33.0  32  1 2 -2
39.1  24  2 1 1
38.9  22  2 0 -2
27.4  22  1 0 -2
59.4  19  3 3 -1
56.5  17  0 6 0
46.5  16  1 4 -2
24.8  11  1 2 0
45.3  11  2 0 2
33.6  10  1 3 -1

***

# 4
Calculated PXRD pattern
Compound: BaSrCeTiO6
Radiation: Cu Kα
Structure: DFT lattice parameters and positions (GGA-PBE)
Kinematic intensities with the Lorentz-polarization factor, no thermal factor.

Cell and atoms:
a = 8.428 Å, b = 8.428 Å, c = 8.428 Å
α = 90.00°, β = 90.00°, γ = 90.00°
Space group F-43m (No. 216)
Unique sites:
Ba 0.000 0.000 0.000 [4 per cell]
Sr 0.000 0.000 0.500 [4 per cell]
Ce 0.250 0.250 0.250 [4 per cell]
Ti 0.250 0.250 0.750 [4 per cell]
O 0.015 0.250 0.750 [24 per cell]

Main lines, most intense first (15° ≤ 2θ ≤ 90°):
2theta  I (rel.)  h k l
30.0  100  2 2 0
53.2  40  4 2 2
42.9  33  4 0 0
86.4  21  6 4 2
62.3  20  4 4 0
70.7  18  6 2 0
18.2  13  1 1 1
35.3  10  3 1 1
78.7  7  4 4 4
47.0  5  3 3 1
36.9  5  2 2 2
56.8  3  3 3 3

***

# 5
Calculated PXRD pattern
Compound: NaAsIrO5
Radiation: Cu Kα
Structure: DFT lattice parameters and positions (GGA-PBE)
Kinematic intensities with the Lorentz-polarization factor, no thermal factor.

Cell and atoms:
a = 6.808 Å, b = 8.981 Å, c = 7.236 Å
α = 90.00°, β = 115.35°, γ = 90.00°
Space group C2/c (No. 15)
Unique sites:
Na 0.000 0.166 0.250 [4 per cell]
As 0.000 0.189 0.750 [4 per cell]
Ir 0.000 0.500 0.000 [4 per cell]
O 0.000 0.423 0.250 [4 per cell]
O 0.118 0.293 0.622 [8 per cell]
O 0.186 0.068 0.927 [8 per cell]

Main lines, most intense first (15° ≤ 2θ ≤ 90°):
2theta  I (rel.)  h k l
17.5  100  1 1 0
26.7  84  1 1 -2
33.3  59  1 3 0
33.9  54  0 2 2
29.0  50  2 0 0
36.3  26  2 2 -2
42.0  24  3 1 -2
19.8  23  0 2 0
64.0  20  1 5 2
37.6  20  1 1 2
54.2  20  3 3 0
52.9  17  2 2 2

***

# 6
Calculated PXRD pattern
Compound: CaPb3
Radiation: Cu Kα
Structure: DFT lattice parameters and positions (GGA-PBE)
Kinematic intensities with the Lorentz-polarization factor, no thermal factor.

Cell and atoms:
a = 3.6804 Å, b = 3.6804 Å, c = 10.8662 Å
α = 90.00°, β = 90.00°, γ = 120.00°
Space group P-6m2 (No. 187)
Unique sites:
Ca 0.0000 0.0000 0.0000 [1 per cell]
Pb 0.0000 0.0000 0.5000 [1 per cell]
Pb 0.6667 0.3333 0.2441 [2 per cell]

Main lines, most intense first (15° ≤ 2θ ≤ 90°):
2theta  I (rel.)  h k l
32.6  100  1 0 2
28.0  28  1 0 0
60.8  22  1 1 4
33.0  21  0 0 4
49.5  21  1 1 0
58.6  20  1 0 6
60.5  17  2 0 2
43.8  17  1 0 4
81.9  15  2 1 2
29.2  12  1 0 1
80.2  9  2 0 6
89.7  8  1 1 8